No. 1
Calculated X-ray diffraction stick pattern
Compound: Dy2MgCd4
Radiation: a wavelength of 1.5418 Å
Structure: a cell relaxed with GGA-PBE
Peak positions follow from Bragg's law for the DFT cell and can differ from measured ones.

Main lines, in order of rising 2θ (2θ from 10° to 80°):
Position (°2θ)  I (rel.)
21.4  16
21.5  47
35.4  99
35.5  100
41.9  26
51.0  34
63.4  17
63.7  52
74.9  10
75.2  11

Structural model:
```
data_Dy2MgCd4
_cell_length_a 8.798
_cell_length_b 8.798
_cell_length_c 8.798
_cell_angle_alpha 33.39
_cell_angle_beta 33.39
_cell_angle_gamma 33.39
_space_group_name_H-M_alt 'P 1'
_space_group_IT_number 1
loop_
_space_group_symop_operation_xyz
'x,y,z'
loop_
_atom_site_label
_atom_site_type_symbol
_atom_site_fract_x
_atom_site_fract_y
_atom_site_fract_z
_atom_site_occupancy
Dy1 Dy 0.247 0.247 0.247 1
Dy2 Dy 0.753 0.753 0.753 1
Mg1 Mg 0.500 0.500 0.500 1
Cd1 Cd 0.122 0.122 0.122 1
Cd2 Cd 0.372 0.372 0.372 1
Cd3 Cd 0.628 0.628 0.628 1
Cd4 Cd 0.878 0.878 0.878 1
```


No. 2
Calculated X-ray diffraction stick pattern
Compound: ThTa4O12
Radiation: a wavelength of 1.5418 Å
Structure: a cell relaxed with GGA-PBE
Peak positions follow from Bragg's law for the DFT cell and can differ from measured ones.

Main lines, in order of rising 2θ (2θ from 10° to 80°):
Position (°2θ)  I (rel.)
15.8  20
15.9  39
22.4  52
22.8  23
27.7  18
32.0  50
32.2  100
45.8  31
57.1  42
57.6  23

Structural model:
```
data_ThTa4O12
_cell_length_a 6.826
_cell_length_b 6.826
_cell_length_c 6.826
_cell_angle_alpha 110.30
_cell_angle_beta 109.08
_cell_angle_gamma 109.03
_space_group_name_H-M_alt 'P 1'
_space_group_IT_number 1
loop_
_space_group_symop_operation_xyz
'x,y,z'
loop_
_atom_site_label
_atom_site_type_symbol
_atom_site_fract_x
_atom_site_fract_y
_atom_site_fract_z
_atom_site_occupancy
Th1 Th 0.000 0.000 0.000 1
Ta1 Ta 0.000 0.000 0.500 1
Ta2 Ta 0.000 0.500 0.000 1
Ta3 Ta 0.500 0.000 0.000 1
Ta4 Ta 0.500 0.500 0.500 1
O1 O 0.001 0.730 0.272 1
O2 O 0.238 0.209 0.447 1
O3 O 0.238 0.791 0.030 1
O4 O 0.239 0.031 0.792 1
O5 O 0.239 0.446 0.208 1
O6 O 0.458 0.730 0.728 1
O7 O 0.542 0.270 0.272 1
O8 O 0.761 0.554 0.792 1
O9 O 0.761 0.969 0.208 1
O10 O 0.762 0.209 0.970 1
O11 O 0.762 0.791 0.553 1
O12 O 0.999 0.270 0.728 1
```


No. 3
Calculated X-ray diffraction stick pattern
Compound: ScBe2SiRh
Radiation: a wavelength of 1.5418 Å
Structure: a cell relaxed with GGA-PBE
Peak positions follow from Bragg's law for the DFT cell and can differ from measured ones.

Main lines, in order of rising 2θ (2θ from 10° to 80°):
Position (°2θ)  I (rel.)
16.8  25
24.6  87
28.7  33
34.0  24
37.6  45
40.1  100
47.2  20
49.2  23
50.4  19
61.8  20

Structural model:
```
data_ScBe2SiRh
_cell_length_a 3.259
_cell_length_b 3.855
_cell_length_c 10.551
_cell_angle_alpha 90.00
_cell_angle_beta 90.00
_cell_angle_gamma 90.00
_space_group_name_H-M_alt 'P 1'
_space_group_IT_number 1
loop_
_space_group_symop_operation_xyz
'x,y,z'
loop_
_atom_site_label
_atom_site_type_symbol
_atom_site_fract_x
_atom_site_fract_y
_atom_site_fract_z
_atom_site_occupancy
Sc1 Sc 0.000 0.000 0.000 1
Sc2 Sc 0.500 0.500 0.500 1
Be1 Be 0.000 0.000 0.613 1
Be2 Be 0.000 0.500 0.265 1
Be3 Be 0.500 0.000 0.765 1
Be4 Be 0.500 0.500 0.113 1
Si1 Si 0.000 0.000 0.399 1
Si2 Si 0.500 0.500 0.899 1
Rh1 Rh 0.000 0.500 0.736 1
Rh2 Rh 0.500 0.000 0.236 1
```


No. 4
Calculated X-ray diffraction stick pattern
Compound: CsLiCaH
Radiation: a wavelength of 1.5418 Å
Structure: a cell relaxed with GGA-PBE
Peak positions follow from Bragg's law for the DFT cell and can differ from measured ones.

Main lines, in order of rising 2θ (2θ from 10° to 80°):
Position (°2θ)  I (rel.)
14.2  42
21.0  100
28.0  58
28.5  18
29.2  94
31.5  25
40.1  21
40.4  27
45.7  26
50.4  40

Structural model:
```
data_CsLiCaH
_cell_length_a 4.499
_cell_length_b 4.499
_cell_length_c 12.510
_cell_angle_alpha 90.00
_cell_angle_beta 90.00
_cell_angle_gamma 90.00
_space_group_name_H-M_alt 'P 1'
_space_group_IT_number 1
loop_
_space_group_symop_operation_xyz
'x,y,z'
loop_
_atom_site_label
_atom_site_type_symbol
_atom_site_fract_x
_atom_site_fract_y
_atom_site_fract_z
_atom_site_occupancy
Cs1 Cs 0.000 0.000 0.000 1
Cs2 Cs 0.500 0.500 0.500 1
Li1 Li 0.000 0.000 0.661 1
Li2 Li 0.500 0.500 0.161 1
Ca1 Ca 0.000 0.000 0.303 1
Ca2 Ca 0.500 0.500 0.803 1
H1 H 0.000 0.000 0.493 1
H2 H 0.500 0.500 0.993 1
```


No. 5
Calculated X-ray diffraction stick pattern
Compound: V2FeSe4
Radiation: a wavelength of 1.5418 Å
Structure: a cell relaxed with GGA-PBE
Peak positions follow from Bragg's law for the DFT cell and can differ from measured ones.

Main lines, in order of rising 2θ (2θ from 10° to 80°):
Position (°2θ)  I (rel.)
32.1  43
32.3  55
33.4  100
33.5  45
40.8  17
42.8  50
43.0  51
51.0  46
53.7  29
55.8  17

Structural model:
```
data_V2FeSe4
_cell_length_a 13.383
_cell_length_b 3.413
_cell_length_c 6.306
_cell_angle_alpha 90.00
_cell_angle_beta 117.66
_cell_angle_gamma 90.00
_space_group_name_H-M_alt 'P 1'
_space_group_IT_number 1
loop_
_space_group_symop_operation_xyz
'x,y,z'
loop_
_atom_site_label
_atom_site_type_symbol
_atom_site_fract_x
_atom_site_fract_y
_atom_site_fract_z
_atom_site_occupancy
V1 V 0.000 0.000 0.000 1
V2 V 0.247 0.500 0.689 1
V3 V 0.500 0.500 0.000 1
V4 V 0.747 0.000 0.689 1
Fe1 Fe 0.248 0.000 0.330 1
Fe2 Fe 0.748 0.500 0.330 1
Se1 Se 0.106 0.000 0.459 1
Se2 Se 0.140 0.500 0.988 1
Se3 Se 0.361 0.000 0.023 1
Se4 Se 0.387 0.500 0.548 1
Se5 Se 0.606 0.500 0.459 1
Se6 Se 0.640 0.000 0.988 1
Se7 Se 0.861 0.500 0.023 1
Se8 Se 0.887 0.000 0.548 1
```


No. 6
Calculated X-ray diffraction stick pattern
Compound: AcTb6Te8
Radiation: a wavelength of 1.5418 Å
Structure: a cell relaxed with GGA-PBE
Peak positions follow from Bragg's law for the DFT cell and can differ from measured ones.

Main lines, in order of rising 2θ (2θ from 10° to 80°):
Position (°2θ)  I (rel.)
21.3  21
23.6  30
29.3  100
31.0  28
31.2  59
34.5  71
36.0  45
39.5  23
50.7  21
51.1  23

Structural model:
```
data_AcTb6Te8
_cell_length_a 8.139
_cell_length_b 8.139
_cell_length_c 8.139
_cell_angle_alpha 75.30
_cell_angle_beta 75.30
_cell_angle_gamma 75.30
_space_group_name_H-M_alt 'P 1'
_space_group_IT_number 1
loop_
_space_group_symop_operation_xyz
'x,y,z'
loop_
_atom_site_label
_atom_site_type_symbol
_atom_site_fract_x
_atom_site_fract_y
_atom_site_fract_z
_atom_site_occupancy
Ac1 Ac 0.000 0.000 0.000 1
Tb1 Tb 0.153 0.631 0.443 1
Tb2 Tb 0.369 0.557 0.847 1
Tb3 Tb 0.443 0.153 0.631 1
Tb4 Tb 0.557 0.847 0.369 1
Tb5 Tb 0.631 0.443 0.153 1
Tb6 Tb 0.847 0.369 0.557 1
Te1 Te 0.102 0.374 0.798 1
Te2 Te 0.202 0.898 0.626 1
Te3 Te 0.293 0.293 0.293 1
Te4 Te 0.374 0.798 0.102 1
Te5 Te 0.626 0.202 0.898 1
Te6 Te 0.707 0.707 0.707 1
Te7 Te 0.798 0.102 0.374 1
Te8 Te 0.898 0.626 0.202 1
```


No. 7
Calculated X-ray diffraction stick pattern
Compound: BaTl8Hg4
Radiation: a wavelength of 1.5418 Å
Structure: a cell relaxed with GGA-PBE
Peak positions follow from Bragg's law for the DFT cell and can differ from measured ones.

Main lines, in order of rising 2θ (2θ from 10° to 80°):
Position (°2θ)  I (rel.)
27.7  40
31.6  63
31.9  100
33.0  73
35.4  57
35.7  44
36.7  81
53.1  24
56.4  22
57.1  36

Structural model:
```
data_BaTl8Hg4
_cell_length_a 8.593
_cell_length_b 8.593
_cell_length_c 8.593
_cell_angle_alpha 97.44
_cell_angle_beta 97.44
_cell_angle_gamma 137.82
_space_group_name_H-M_alt 'P 1'
_space_group_IT_number 1
loop_
_space_group_symop_operation_xyz
'x,y,z'
loop_
_atom_site_label
_atom_site_type_symbol
_atom_site_fract_x
_atom_site_fract_y
_atom_site_fract_z
_atom_site_occupancy
Ba1 Ba 0.000 0.000 0.000 1
Tl1 Tl 0.000 0.356 0.356 1
Tl2 Tl 0.000 0.644 0.644 1
Tl3 Tl 0.289 0.500 0.789 1
Tl4 Tl 0.356 0.000 0.356 1
Tl5 Tl 0.500 0.289 0.789 1
Tl6 Tl 0.500 0.711 0.211 1
Tl7 Tl 0.644 0.000 0.644 1
Tl8 Tl 0.711 0.500 0.211 1
Hg1 Hg 0.000 0.000 0.500 1
Hg2 Hg 0.000 0.500 0.000 1
Hg3 Hg 0.500 0.000 0.000 1
Hg4 Hg 0.500 0.500 0.500 1
```


No. 8
Calculated X-ray diffraction stick pattern
Compound: DyUTe4
Radiation: a wavelength of 1.5418 Å
Structure: a cell relaxed with GGA-PBE
Peak positions follow from Bragg's law for the DFT cell and can differ from measured ones.

Main lines, in order of rising 2θ (2θ from 10° to 80°):
Position (°2θ)  I (rel.)
15.7  25
28.5  100
31.8  35
35.0  16
36.4  40
36.8  57
38.9  20
43.2  22
47.4  15
68.0  17

Structural model:
```
data_DyUTe4
_cell_length_a 4.188
_cell_length_b 6.143
_cell_length_c 14.119
_cell_angle_alpha 90.00
_cell_angle_beta 90.00
_cell_angle_gamma 90.00
_space_group_name_H-M_alt 'P 1'
_space_group_IT_number 1
loop_
_space_group_symop_operation_xyz
'x,y,z'
loop_
_atom_site_label
_atom_site_type_symbol
_atom_site_fract_x
_atom_site_fract_y
_atom_site_fract_z
_atom_site_occupancy
Dy1 Dy 0.000 0.000 0.000 1
Dy2 Dy 0.500 0.500 0.500 1
U1 U 0.000 0.000 0.274 1
U2 U 0.500 0.500 0.774 1
Te1 Te 0.000 0.251 0.640 1
Te2 Te 0.000 0.500 0.341 1
Te3 Te 0.000 0.500 0.932 1
Te4 Te 0.000 0.749 0.640 1
Te5 Te 0.500 0.000 0.432 1
Te6 Te 0.500 0.000 0.841 1
Te7 Te 0.500 0.249 0.140 1
Te8 Te 0.500 0.751 0.140 1
```


Q: What is the formula in the first record?
A: Dy2MgCd4